[1]
NaCO3: computed XRD peak list (Cu Ka), based on a cell relaxed with GGA-PBE.
No peak broadening, texture or thermal motion is included.

Atomic structure:
```
NaCO3
1.0
3.664 0.000 0.000
0.000 9.457 0.000
-3.041 0.000 7.787
Na C O
4 4 12
Cartesian
-0.607 0.033 2.230
-2.127 4.695 6.123
2.750 4.761 1.663
1.229 9.424 5.557
0.819 2.224 0.562
-0.701 2.505 4.455
1.324 6.952 3.332
-0.197 7.233 7.225
-2.765 1.582 7.375
-1.245 3.146 3.482
-0.599 1.233 4.457
0.922 3.495 0.564
1.217 1.486 1.542
-0.303 3.243 5.436
0.926 6.214 2.351
-0.595 7.971 6.244
-0.299 5.961 7.223
1.222 8.223 3.330
1.867 6.311 4.304
3.388 7.874 0.411
```

Peak list (10 most intense, 2θ from 5° to 70°, in order of rising 2θ)
| 2θ (°) | d [Å] | I/Imax |
| --- | --- | --- |
| 24.73 | 3.600 | 36 |
| 27.79 | 3.210 | 63 |
| 29.39 | 3.039 | 100 |
| 29.73 | 3.006 | 60 |
| 32.35 | 2.767 | 26 |
| 33.75 | 2.656 | 80 |
| 39.61 | 2.275 | 33 |
| 43.43 | 2.083 | 23 |
| 47.78 | 1.904 | 25 |
| 52.37 | 1.747 | 24 |



[2]
NaCO3: computed XRD peak list (Cu Ka), based on a cell relaxed with GGA-PBE.
No peak broadening, texture or thermal motion is included.

Atomic structure:
```
NaCO3
1.0
2.585 1.492 5.703
-2.585 1.492 5.703
0.000 -2.985 5.703
Na C O
2 2 6
Cartesian
0.000 0.000 0.000
0.000 0.000 8.554
0.000 0.000 4.277
0.000 0.000 12.831
-0.640 -1.109 4.277
-0.640 1.109 4.277
1.281 0.000 4.277
-1.281 0.000 12.831
0.640 -1.109 12.831
0.640 1.109 12.831
```

Peak list (10 most intense, 2θ from 5° to 70°, in order of rising 2θ)
| 2θ (°) | d [Å] | I/Imax |
| --- | --- | --- |
| 28.87 | 3.093 | 100 |
| 31.37 | 2.851 | 13 |
| 34.70 | 2.585 | 8 |
| 38.23 | 2.354 | 33 |
| 41.70 | 2.166 | 11 |
| 47.09 | 1.930 | 21 |
| 47.47 | 1.915 | 15 |
| 54.49 | 1.684 | 9 |
| 55.34 | 1.660 | 9 |
| 62.20 | 1.492 | 7 |



[3]
NaCO2: computed XRD peak list (Cu Ka), based on a cell relaxed with GGA-PBE.
No peak broadening, texture or thermal motion is included.

Atomic structure:
```
NaCO2
1.0
3.551 0.000 0.000
0.000 5.297 0.000
-0.691 0.000 10.578
Na C O
4 4 8
Cartesian
0.618 0.301 1.524
0.272 2.348 6.813
2.588 2.950 3.765
2.242 4.996 9.054
1.071 0.233 4.622
0.726 2.416 9.911
2.134 2.881 0.667
1.789 5.065 5.955
0.313 1.218 9.868
0.658 1.431 4.579
0.614 3.271 8.979
0.960 4.675 3.690
1.900 0.623 6.887
2.246 2.026 1.598
2.202 3.867 5.999
2.547 4.079 0.710
```

Peak list (10 most intense, 2θ from 5° to 70°, in order of rising 2θ)
| 2θ (°) | d [Å] | I/Imax |
| --- | --- | --- |
| 16.76 | 5.289 | 11 |
| 30.35 | 2.945 | 17 |
| 31.07 | 2.878 | 100 |
| 33.89 | 2.645 | 33 |
| 38.03 | 2.366 | 29 |
| 40.98 | 2.203 | 16 |
| 43.85 | 2.065 | 14 |
| 46.75 | 1.943 | 12 |
| 51.83 | 1.764 | 12 |
| 54.80 | 1.675 | 20 |